Record 1
Simulated X-ray powder pattern
Compound: NaBH8N2
Radiation: λ = 1.5418 Å (Cu Kα)
Structure: a PBE-relaxed structure
Kinematic intensities with the Lorentz-polarization factor, no thermal factor.

Largest 10 diffraction maxima, low angle first, 2θ = 10–90°:
2θ/deg  I_rel
17.9  100.0
26.4  80.5
26.7  29.9
26.9  24.7
29.8  33.3
30.0  61.6
36.4  22.9
36.6  21.7
37.9  16.6
39.4  24.6

Cell lengths 7.660, 6.757, 9.134 Å; angles 90.00, 107.70, 90.00 degrees
Space group P2_1/c (No. 14)
Inequivalent atoms, fractional coordinates:
Na 0.098 0.248 0.143 [4 per cell]
B 0.178 0.710 0.189 [4 per cell]
H 0.037 0.690 0.658 [4 per cell]
H 0.151 0.564 0.106 [4 per cell]
H 0.223 0.660 0.326 [4 per cell]
H 0.300 0.692 0.665 [4 per cell]
H 0.309 0.045 0.973 [4 per cell]
H 0.320 0.046 0.419 [4 per cell]
H 0.458 0.181 0.102 [4 per cell]
H 0.476 0.190 0.383 [4 per cell]
N 0.334 0.186 0.017 [4 per cell]
N 0.345 0.188 0.393 [4 per cell]

Record 2
Simulated X-ray powder pattern
Compound: Na2BH4N
Radiation: λ = 1.5418 Å (Cu Kα)
Structure: a PBE-relaxed structure
Kinematic intensities with the Lorentz-polarization factor, no thermal factor.

Largest 10 diffraction maxima, low angle first, 2θ = 10–90°:
2θ/deg  I_rel
20.4  100.0
25.8  22.9
27.5  49.9
33.1  92.0
36.8  80.3
41.6  26.8
42.5  67.2
53.0  25.2
56.7  39.9
57.4  23.6

Cell lengths 4.886, 4.886, 4.344 Å; angles 90.00, 90.00, 90.00 degrees
Space group P-42m (No. 111)
Inequivalent atoms, fractional coordinates:
Na 0.000 0.500 0.000 [2 per cell]
B 0.000 0.000 0.500 [1 per cell]
H 0.148 0.148 0.658 [4 per cell]
N 0.500 0.500 0.000 [1 per cell]

Record 3
Simulated X-ray powder pattern
Compound: ZnBP2H4NO8
Radiation: λ = 1.5418 Å (Cu Kα)
Structure: a PBE-relaxed structure
Kinematic intensities with the Lorentz-polarization factor, no thermal factor.

Largest 10 diffraction maxima, low angle first, 2θ = 10–90°:
2θ/deg  I_rel
14.0  38.1
14.2  37.8
15.1  64.9
15.2  100.0
23.9  36.6
24.5  60.2
25.2  29.0
28.6  26.2
28.8  53.0
29.6  55.0

Cell lengths 7.521, 7.832, 7.878 Å; angles 60.64, 76.66, 64.70 degrees
Space group P-1 (No. 2)
Inequivalent atoms, fractional coordinates:
Zn 0.194 0.252 0.452 [2 per cell]
B 0.303 0.916 0.003 [2 per cell]
P 0.028 0.728 0.166 [2 per cell]
P 0.459 0.913 0.299 [2 per cell]
H 0.143 0.564 0.773 [2 per cell]
H 0.253 0.740 0.618 [2 per cell]
H 0.268 0.642 0.859 [2 per cell]
H 0.390 0.482 0.748 [2 per cell]
N 0.264 0.607 0.750 [2 per cell]
O 0.010 0.772 0.338 [2 per cell]
O 0.058 0.501 0.216 [2 per cell]
O 0.158 0.128 0.966 [2 per cell]
O 0.213 0.768 0.032 [2 per cell]
O 0.270 0.014 0.394 [2 per cell]
O 0.394 0.279 0.548 [2 per cell]
O 0.415 0.824 0.179 [2 per cell]
O 0.448 0.916 0.838 [2 per cell]

Please write out number 1 again, unchanged.
Simulated X-ray powder pattern
Compound: NaBH8N2
Radiation: λ = 1.5418 Å (Cu Kα)
Structure: a PBE-relaxed structure
Kinematic intensities with the Lorentz-polarization factor, no thermal factor.

Largest 10 diffraction maxima, low angle first, 2θ = 10–90°:
2θ/deg  I_rel
17.9  100.0
26.4  80.5
26.7  29.9
26.9  24.7
29.8  33.3
30.0  61.6
36.4  22.9
36.6  21.7
37.9  16.6
39.4  24.6

Cell lengths 7.660, 6.757, 9.134 Å; angles 90.00, 107.70, 90.00 degrees
Space group P2_1/c (No. 14)
Inequivalent atoms, fractional coordinates:
Na 0.098 0.248 0.143 [4 per cell]
B 0.178 0.710 0.189 [4 per cell]
H 0.037 0.690 0.658 [4 per cell]
H 0.151 0.564 0.106 [4 per cell]
H 0.223 0.660 0.326 [4 per cell]
H 0.300 0.692 0.665 [4 per cell]
H 0.309 0.045 0.973 [4 per cell]
H 0.320 0.046 0.419 [4 per cell]
H 0.458 0.181 0.102 [4 per cell]
H 0.476 0.190 0.383 [4 per cell]
N 0.334 0.186 0.017 [4 per cell]
N 0.345 0.188 0.393 [4 per cell]